No. 1
The following is a simulated X-ray diffraction stick pattern of La4ErTm3. It was derived from a crystal structure in Alexandria, relaxed with PBE, using a wavelength of 1.5418 Å.
No peak broadening, texture or thermal motion is included.

The 10 most intense peaks (2θ from 10° to 90°), in order of rising 2θ:
(hkl)  2θ (°)  intensity
0 2 1  28.17  24
4 0 0  30.82  25
2 0 2  32.19  100
4 2 1  42.24  16
0 2 3  49.79  13
0 4 0  49.96  6
6 0 2  55.68  21
4 2 3  59.71  15
4 4 0  59.86  7
2 4 2  60.65  11

Cell and atoms:
Unit cell a=11.6044 b=7.3026 c=6.3500 alpha=90.00 beta=90.00 gamma=90.00
Space group Pmn2_1 (No. 31)
Inequivalent atoms, fractional coordinates:
La 0.0000 0.1274 0.0000 [2 per cell]
La 0.0000 0.8709 0.5091 [2 per cell]
La 0.2469 0.1276 0.3337 [4 per cell]
Er 0.0000 0.6203 0.0064 [2 per cell]
Tm 0.0000 0.3830 0.5045 [2 per cell]
Tm 0.2497 0.3815 0.8335 [4 per cell]

No. 2
The following is a simulated X-ray diffraction stick pattern of LaEr7Tm3. It was derived from a crystal structure in Alexandria, relaxed with PBE, using a wavelength of 1.5418 Å.
No peak broadening, texture or thermal motion is included.

The 10 most intense peaks (2θ from 10° to 90°), in order of rising 2θ:
(hkl)  2θ (°)  intensity
1 1 2  31.52  19
2 1 0  31.91  75
1 1 -3  32.22  30
0 2 0  32.51  100
2 0 -3  32.99  17
0 1 3  33.23  55
1 0 3  35.89  14
2 2 -3  47.02  12
0 0 6  59.86  13
4 2 -2  63.89  14

Cell and atoms:
Unit cell a=6.8744 b=5.5027 c=9.7846 alpha=90.00 beta=108.54 gamma=90.00
Space group P2/m (No. 10)
Inequivalent atoms, fractional coordinates:
La 0.0000 0.0000 0.0000 [1 per cell]
Er 0.0000 0.0000 0.5000 [1 per cell]
Er 0.1494 0.5000 0.7890 [2 per cell]
Er 0.3276 0.5000 0.1429 [2 per cell]
Er 0.4334 0.0000 0.3329 [2 per cell]
Tm 0.2738 0.5000 0.4925 [2 per cell]
Tm 0.5000 0.0000 0.0000 [1 per cell]

No. 3
The following is a simulated X-ray diffraction stick pattern of La3ErTm8. It was derived from a crystal structure in Alexandria, relaxed with PBE, using a wavelength of 1.5418 Å.
No peak broadening, texture or thermal motion is included.

The 10 most intense peaks (2θ from 10° to 90°), in order of rising 2θ:
(hkl)  2θ (°)  intensity
1 2 2  28.46  24
0 2 -2  31.61  24
2 2 0  32.64  100
1 4 0  43.05  16
3 0 0  50.37  13
2 4 -2  56.95  21
3 2 -2  60.69  15
3 5 1  60.78  8
2 5 3  61.31  11
5 5 3  83.37  7

Cell and atoms:
Unit cell a=6.2651 b=8.4467 c=8.4509 alpha=84.13 beta=68.29 gamma=68.29
Space group P1 (No. 1)
Inequivalent atoms, fractional coordinates:
La 0.0000 0.0000 0.0000 [1 per cell]
La 0.0000 0.4985 0.5022 [1 per cell]
La 0.3379 0.7485 0.2516 [1 per cell]
Er 0.3413 0.2481 0.7507 [1 per cell]
Tm 0.0007 0.0828 0.5842 [1 per cell]
Tm 0.0060 0.5780 0.0799 [1 per cell]
Tm 0.3357 0.1698 0.1664 [1 per cell]
Tm 0.3368 0.6637 0.6720 [1 per cell]
Tm 0.6643 0.9193 0.4217 [1 per cell]
Tm 0.6678 0.4146 0.9176 [1 per cell]
Tm 0.6722 0.3286 0.3360 [1 per cell]
Tm 0.6725 0.8338 0.8306 [1 per cell]

No. 4
The following is a simulated X-ray diffraction stick pattern of LaYErTm. It was derived from a crystal structure in Alexandria, relaxed with PBE, using a wavelength of 1.5418 Å.
No peak broadening, texture or thermal motion is included.

The 10 most intense peaks (2θ from 10° to 90°), in order of rising 2θ:
(hkl)  2θ (°)  intensity
0 1 2  29.19  29
1 0 4  30.53  16
0 0 12  30.73  49
0 1 5  31.51  100
1 0 7  33.99  76
1 0 10  38.79  17
1 1 0  50.89  37
0 1 17  53.48  23
1 1 12  60.64  42
2 0 5  61.10  15

Cell and atoms:
Unit cell a=3.5886 b=3.5886 c=34.9117 alpha=90.00 beta=90.00 gamma=120.00
Space group R3m (No. 160, hexagonal axes)
Inequivalent atoms, fractional coordinates:
La 0.0000 0.0000 0.0000 [3 per cell]
Y 0.0000 0.0000 0.5786 [3 per cell]
Er 0.0000 0.0000 0.7513 [3 per cell]
Tm 0.0000 0.0000 0.1641 [3 per cell]

No. 5
The following is a simulated X-ray diffraction stick pattern of La2Y2Er2Tm. It was derived from a crystal structure in Alexandria, relaxed with PBE, using a wavelength of 1.5418 Å.
No peak broadening, texture or thermal motion is included.

The 10 most intense peaks (2θ from 10° to 90°), in order of rising 2θ:
(hkl)  2θ (°)  intensity
1 1 -1  27.64  91
2 0 2  30.29  95
6 0 -1  30.44  100
4 0 -3  32.03  79
3 1 -2  33.76  98
3 1 1  35.71  80
5 1 0  38.45  42
1 1 -4  52.66  37
2 2 2  61.83  47
6 2 -1  61.94  27

Cell and atoms:
Unit cell a=17.7497 b=3.4842 c=8.5689 alpha=90.00 beta=117.06 gamma=90.00
Space group C2/m (No. 12)
Inequivalent atoms, fractional coordinates:
La 0.1481 0.0000 0.3822 [4 per cell]
Y 0.0694 0.0000 0.9011 [4 per cell]
Er 0.2117 0.5000 0.8018 [4 per cell]
Tm 0.0000 0.5000 0.5000 [2 per cell]

No. 6
The following is a simulated X-ray diffraction stick pattern of La2YEr6Tm3. It was derived from a crystal structure in Alexandria, relaxed with PBE, using a wavelength of 1.5418 Å.
No peak broadening, texture or thermal motion is included.

The 10 most intense peaks (2θ from 10° to 90°), in order of rising 2θ:
(hkl)  2θ (°)  intensity
1 3 1  30.85  100
0 0 4  30.94  33
2 0 2  35.80  67
0 6 0  51.46  24
2 0 -6  51.58  23
4 0 0  61.25  42
1 3 -7  61.37  14
4 0 -4  64.27  12
1 9 1  84.00  12
4 6 -4  86.72  11

Cell and atoms:
Unit cell a=6.1530 b=10.6508 c=11.7409 alpha=90.00 beta=100.04 gamma=90.00
Space group C2/m (No. 12)
Inequivalent atoms, fractional coordinates:
La 0.0000 0.1666 0.0000 [4 per cell]
Y 0.0000 0.5000 0.0000 [2 per cell]
Er 0.2464 0.5000 0.7440 [4 per cell]
Er 0.2477 0.1663 0.7441 [8 per cell]
Tm 0.0000 0.0000 0.5000 [2 per cell]
Tm 0.0000 0.3336 0.5000 [4 per cell]

No. 7
The following is a simulated X-ray diffraction stick pattern of La3Y8Er4. It was derived from a crystal structure in Alexandria, relaxed with PBE, using a wavelength of 1.5418 Å.
No peak broadening, texture or thermal motion is included.

The 10 most intense peaks (2θ from 10° to 90°), in order of rising 2θ:
(hkl)  2θ (°)  intensity
2 2 0  20.52  19
0 4 0  27.70  42
0 0 2  30.46  100
4 0 0  30.60  49
0 4 1  31.70  20
0 4 2  41.64  55
4 4 0  41.74  27
4 0 -4  54.05  10
0 8 2  66.19  20
4 8 2  82.81  11

Cell and atoms:
Unit cell a=13.4994 b=12.8834 c=6.7864 alpha=90.00 beta=120.05 gamma=90.00
Space group C2/m (No. 12)
Inequivalent atoms, fractional coordinates:
La 0.0000 0.0000 0.0000 [2 per cell]
La 0.2500 0.2500 0.5000 [4 per cell]
Y 0.0000 0.1429 0.5000 [4 per cell]
Y 0.0000 0.2492 0.0000 [4 per cell]
Y 0.2342 0.0000 0.5008 [4 per cell]
Y 0.2418 0.0000 0.9856 [4 per cell]
Er 0.0000 0.5000 0.0000 [2 per cell]
Er 0.0000 0.5000 0.5000 [2 per cell]
Er 0.2500 0.2500 0.0000 [4 per cell]

No. 8
The following is a simulated X-ray diffraction stick pattern of La7Y3Er. It was derived from a crystal structure in Alexandria, relaxed with PBE, using a wavelength of 1.5418 Å.
No peak broadening, texture or thermal motion is included.

The 10 most intense peaks (2θ from 10° to 90°), in order of rising 2θ:
(hkl)  2θ (°)  intensity
1 -1 2  26.91  9
2 0 0  27.47  16
0 2 -2  30.45  15
0 0 3  30.93  41
1 2 -1  31.07  57
-1 2 1  31.44  100
1 0 -3  31.62  21
1 1 2  32.49  20
1 -2 2  33.43  20
1 0 3  36.01  10

Cell and atoms:
Unit cell a=6.6269 b=6.8072 c=8.9600 alpha=100.52 beta=98.38 gamma=96.00
Space group P-1 (No. 2)
Inequivalent atoms, fractional coordinates:
La 0.0000 0.0000 0.0000 [1 per cell]
La 0.0535 0.7146 0.6468 [2 per cell]
La 0.1972 0.2317 0.7062 [2 per cell]
La 0.4847 0.7283 0.9161 [2 per cell]
Y 0.3269 0.9254 0.3287 [2 per cell]
Y 0.5000 0.5000 0.5000 [1 per cell]
Er 0.0000 0.5000 0.0000 [1 per cell]

No. 9
The following is a simulated X-ray diffraction stick pattern of La7YEr3. It was derived from a crystal structure in Alexandria, relaxed with PBE, using a wavelength of 1.5418 Å.
No peak broadening, texture or thermal motion is included.

The 10 most intense peaks (2θ from 10° to 90°), in order of rising 2θ:
(hkl)  2θ (°)  intensity
1 -3 2  28.38  16
2 0 1  30.49  34
2 1 -1  30.99  100
0 3 -3  31.34  78
2 0 -3  31.54  46
0 0 4  31.60  71
2 -2 2  31.75  82
0 3 1  32.63  68
-4 2 1  51.59  24
0 6 -2  57.25  16

Cell and atoms:
Unit cell a=7.0889 b=10.2201 c=12.0641 alpha=104.18 beta=98.61 gamma=108.97
Space group P1 (No. 1)
Inequivalent atoms, fractional coordinates:
La 0.0000 0.0000 0.0000 [1 per cell]
La 0.0227 0.8587 0.2433 [1 per cell]
La 0.1509 0.4868 0.7090 [1 per cell]
La 0.1816 0.3452 0.9757 [1 per cell]
La 0.2324 0.1213 0.7352 [1 per cell]
La 0.3341 0.8729 0.5145 [1 per cell]
La 0.4119 0.5422 0.4898 [1 per cell]
La 0.4586 0.9569 0.8938 [1 per cell]
La 0.5406 0.9495 0.2003 [1 per cell]
La 0.6363 0.4202 0.7283 [1 per cell]
La 0.7001 0.3783 0.0308 [1 per cell]
La 0.7985 0.8792 0.4818 [1 per cell]
La 0.8789 0.5537 0.4366 [1 per cell]
La 0.9634 0.2726 0.2355 [1 per cell]
Y 0.0858 0.6701 0.9737 [1 per cell]
Y 0.7136 0.2073 0.4761 [1 per cell]
Er 0.2056 0.1888 0.4731 [1 per cell]
Er 0.3751 0.6143 0.2323 [1 per cell]
Er 0.4247 0.2619 0.2368 [1 per cell]
Er 0.5835 0.6728 0.9731 [1 per cell]
Er 0.7704 0.1292 0.7391 [1 per cell]
Er 0.8408 0.7765 0.7302 [1 per cell]

No. 10
The following is a simulated X-ray diffraction stick pattern of La3Y8Er. It was derived from a crystal structure in Alexandria, relaxed with PBE, using a wavelength of 1.5418 Å.
No peak broadening, texture or thermal motion is included.

The 10 most intense peaks (2θ from 10° to 90°), in order of rising 2θ:
(hkl)  2θ (°)  intensity
1 1 2  21.06  52
2 1 1  23.77  33
2 2 0  28.49  70
0 0 4  31.37  51
2 2 2  32.62  32
3 1 2  35.70  100
2 2 4  42.88  44
4 0 2  43.84  33
5 1 2  55.25  29
3 1 6  58.69  25

Cell and atoms:
Unit cell a=8.8624 b=8.8624 c=11.4050 alpha=90.00 beta=90.00 gamma=90.00
Space group I-42m (No. 121)
Inequivalent atoms, fractional coordinates:
La 0.0000 0.0000 0.0000 [2 per cell]
La 0.0000 0.5000 0.2500 [4 per cell]
Y 0.1242 0.1242 0.7446 [8 per cell]
Y 0.2425 0.2425 0.4863 [8 per cell]
Er 0.0000 0.0000 0.5000 [2 per cell]

No. 11
The following is a simulated X-ray diffraction stick pattern of La8Y5Er. It was derived from a crystal structure in Alexandria, relaxed with PBE, using a wavelength of 1.5418 Å.
No peak broadening, texture or thermal motion is included.

The 10 most intense peaks (2θ from 10° to 90°), in order of rising 2θ:
(hkl)  2θ (°)  intensity
2 1 1  21.88  34
1 0 3  27.37  96
3 0 1  28.45  84
3 1 0  28.58  92
2 2 2  30.89  30
1 2 3  32.93  100
3 1 2  33.51  77
2 3 1  33.85  71
3 4 1  46.84  25
2 4 4  54.62  24

Cell and atoms:
Unit cell a=9.8773 b=9.8773 c=10.3546 alpha=90.00 beta=90.00 gamma=90.00
Space group I-4 (No. 82)
Inequivalent atoms, fractional coordinates:
La 0.0656 0.3334 0.4105 [8 per cell]
La 0.0926 0.1834 0.7476 [8 per cell]
Y 0.0000 0.0000 0.5000 [2 per cell]
Y 0.1063 0.1999 0.0749 [8 per cell]
Er 0.0000 0.5000 0.7500 [2 per cell]

No. 12
The following is a simulated X-ray diffraction stick pattern of La2YEr7. It was derived from a crystal structure in Alexandria, relaxed with PBE, using a wavelength of 1.5418 Å.
No peak broadening, texture or thermal motion is included.

The 10 most intense peaks (2θ from 10° to 90°), in order of rising 2θ:
(hkl)  2θ (°)  intensity
0 0 1  25.34  33
1 1 1  29.03  41
2 4 0  30.12  67
0 10 0  31.03  89
0 6 1  31.53  48
1 5 1  32.86  100
2 6 0  33.24  88
2 4 1  39.75  49
0 10 1  40.47  32
0 0 2  52.01  45

Cell and atoms:
Unit cell a=6.5115 b=28.8329 c=3.5153 alpha=90.00 beta=90.00 gamma=90.00
Space group Cmmm (No. 65)
Inequivalent atoms, fractional coordinates:
La 0.0000 0.2074 0.0000 [4 per cell]
Y 0.0000 0.5000 0.5000 [2 per cell]
Er 0.0000 0.0000 0.0000 [2 per cell]
Er 0.0000 0.3172 0.5000 [4 per cell]
Er 0.2451 0.4031 0.0000 [8 per cell]

No. 13
The following is a simulated X-ray diffraction stick pattern of LaY3Er. It was derived from a crystal structure in Alexandria, relaxed with PBE, using a wavelength of 1.5418 Å.
No peak broadening, texture or thermal motion is included.

The 10 most intense peaks (2θ from 10° to 90°), in order of rising 2θ:
(hkl)  2θ (°)  intensity
4 0 -2  30.46  100
3 1 1  35.32  50
0 2 0  50.80  29
6 0 2  50.88  6
7 1 -1  60.39  35
5 1 5  60.47  7
8 0 -4  63.37  9
1 3 -3  82.69  6
9 1 -7  82.79  8
8 2 -4  85.43  8

Cell and atoms:
Unit cell a=11.9103 b=3.5982 c=15.6639 alpha=90.00 beta=102.05 gamma=90.00
Space group C2/m (No. 12)
Inequivalent atoms, fractional coordinates:
La 0.0505 0.0000 0.3479 [4 per cell]
Y 0.0521 0.5000 0.8515 [4 per cell]
Y 0.1493 0.0000 0.0493 [4 per cell]
Y 0.1518 0.5000 0.5522 [4 per cell]
Er 0.2494 0.5000 0.2475 [4 per cell]